Entry 1:
The following is a calculated powder XRD pattern of Be4Tl5As4. It was derived from DFT lattice parameters and positions (GGA-PBE), using a wavelength of 1.5418 Å.
Lines closer than 0.1° are merged.

Structure:
```
Be4Tl5As4
1.0
-6.150 6.150 1.934
6.150 -6.150 1.934
6.150 6.150 -1.934
Be Tl As
4 5 4
Direct
0.024 0.588 0.612 Be
0.412 0.024 0.436 Be
0.588 0.976 0.564 Be
0.976 0.412 0.388 Be
0.130 0.201 0.331 Tl
0.201 0.870 0.071 Tl
0.500 0.500 0.000 Tl
0.799 0.130 0.929 Tl
0.870 0.799 0.669 Tl
0.178 0.447 0.625 As
0.447 0.822 0.269 As
0.553 0.178 0.731 As
0.822 0.553 0.375 As
```

Top 10 peaks for 2θ from 10° to 90°, by intensity:
31.80 deg, intensity 100
28.20 deg, intensity 49
32.55 deg, intensity 45
30.84 deg, intensity 36
53.24 deg, intensity 32
10.17 deg, intensity 25
37.27 deg, intensity 20
58.32 deg, intensity 18
22.86 deg, intensity 17
50.96 deg, intensity 17

---

Entry 2:
The following is a calculated powder XRD pattern of La4Nd7In. It was derived from DFT lattice parameters and positions (GGA-PBE), using a wavelength of 1.5418 Å.
Lines closer than 0.1° are merged.

Structure:
```
La4Nd7In
1.0
8.510 -3.051 0.000
8.510 3.051 0.000
-5.831 0.000 8.399
La Nd In
4 7 1
Direct
0.075 0.075 0.440 La
0.279 0.279 0.310 La
0.721 0.721 0.690 La
0.925 0.925 0.560 La
0.000 0.000 0.000 Nd
0.204 0.204 0.881 Nd
0.314 0.314 0.662 Nd
0.452 0.452 0.256 Nd
0.548 0.548 0.744 Nd
0.686 0.686 0.338 Nd
0.796 0.796 0.119 Nd
0.500 0.500 0.000 In
```

Top 10 peaks for 2θ from 10° to 90°, by intensity:
29.30 deg, intensity 100
31.02 deg, intensity 59
30.46 deg, intensity 33
27.18 deg, intensity 29
30.05 deg, intensity 27
33.12 deg, intensity 25
40.37 deg, intensity 21
32.33 deg, intensity 15
53.01 deg, intensity 13
44.76 deg, intensity 12

---

Entry 3:
The following is a calculated powder XRD pattern of NdErPu2P4. It was derived from DFT lattice parameters and positions (GGA-PBE), using a wavelength of 1.5418 Å.
Lines closer than 0.1° are merged.

Structure:
```
NdErPu2P4
1.0
6.959 0.000 0.000
0.000 4.036 0.000
-2.345 0.000 6.566
Nd Er Pu P
1 1 2 4
Direct
0.000 0.000 0.000 Nd
0.000 0.500 0.500 Er
0.500 0.000 0.500 Pu
0.500 0.500 0.000 Pu
0.256 0.000 0.747 P
0.261 0.500 0.261 P
0.739 0.500 0.739 P
0.744 0.000 0.253 P
```

Top 10 peaks for 2θ from 10° to 90°, by intensity:
31.43 deg, intensity 100
27.11 deg, intensity 75
44.98 deg, intensity 37
53.31 deg, intensity 29
27.21 deg, intensity 25
45.08 deg, intensity 25
53.47 deg, intensity 21
55.84 deg, intensity 13
82.96 deg, intensity 13
45.19 deg, intensity 12

---

Entry 4:
The following is a calculated powder XRD pattern of CaTl5Cd2. It was derived from DFT lattice parameters and positions (GGA-PBE), using a wavelength of 1.5418 Å.
Lines closer than 0.1° are merged.

Structure:
```
CaTl5Cd2
1.0
5.576 0.000 0.000
0.000 13.676 0.000
-0.463 0.000 6.007
Ca Tl Cd
2 10 4
Direct
0.246 0.250 0.334 Ca
0.754 0.750 0.666 Ca
0.235 0.750 0.328 Tl
0.243 0.000 0.327 Tl
0.243 0.500 0.327 Tl
0.263 0.623 0.841 Tl
0.263 0.877 0.841 Tl
0.737 0.123 0.159 Tl
0.737 0.377 0.159 Tl
0.757 0.000 0.673 Tl
0.757 0.500 0.673 Tl
0.765 0.250 0.672 Tl
0.254 0.128 0.834 Cd
0.254 0.372 0.834 Cd
0.746 0.628 0.166 Cd
0.746 0.872 0.166 Cd
```

Top 10 peaks for 2θ from 10° to 90°, by intensity:
33.66 deg, intensity 100
34.77 deg, intensity 93
32.20 deg, intensity 74
32.78 deg, intensity 53
30.07 deg, intensity 47
35.03 deg, intensity 44
53.00 deg, intensity 36
17.22 deg, intensity 28
61.26 deg, intensity 24
29.75 deg, intensity 23

---

Entry 5:
The following is a calculated powder XRD pattern of DyNb2Os2. It was derived from DFT lattice parameters and positions (GGA-PBE), using a wavelength of 1.5418 Å.
Lines closer than 0.1° are merged.

Structure:
```
DyNb2Os2
1.0
-2.200 2.200 5.323
2.200 -2.200 5.323
2.200 2.200 -5.323
Dy Nb Os
1 2 2
Direct
0.000 0.000 0.000 Dy
0.250 0.750 0.500 Nb
0.750 0.250 0.500 Nb
0.382 0.382 0.000 Os
0.618 0.618 0.000 Os
```

Top 10 peaks for 2θ from 10° to 90°, by intensity:
32.41 deg, intensity 100
41.02 deg, intensity 92
33.35 deg, intensity 91
28.69 deg, intensity 52
47.43 deg, intensity 52
53.22 deg, intensity 50
44.81 deg, intensity 43
64.47 deg, intensity 42
59.40 deg, intensity 31
21.85 deg, intensity 23